Diffraction record for Ag2Hg3I8. The powder XRD pattern is theoretical, not measured: it uses the GGA-PBE geometry in Alexandria and CuKα.
Intensities are scaled so that the largest is 1000.

Structure:
```
26
Lattice="8.0358 -4.0265 0.0000 8.0358 4.0265 0.0000 -1.6649 0.0000 19.4405" Properties=species:S:1:pos:R:3 pbc="T T T"
Ag 3.3707 1.3045 6.3440
Ag 2.5383 -1.3045 16.0643
Ag 11.8684 1.3045 3.3762
Ag 11.0359 -1.3045 13.0964
Hg 3.2244 1.0468 1.4367
Hg 6.7871 2.5205 14.5803
Hg 2.3919 -1.0468 11.1569
Hg 12.0147 1.0468 8.2835
Hg 7.6195 -2.5205 4.8601
Hg 11.1822 -1.0468 18.0038
I 5.2016 2.5978 8.0232
I 5.7524 2.6431 12.1372
I 3.5438 1.3428 15.5872
I 5.9594 1.2981 0.6592
I 7.8218 2.6431 17.0234
I 10.0375 2.5978 1.6970
I 9.2797 1.2981 9.0610
I 4.3762 -1.3428 5.8670
I 10.0304 1.3428 13.5735
I 5.1270 -1.2981 10.3794
I 4.3692 -2.5978 17.7434
I 6.5849 -2.6431 2.4170
I 8.4472 -1.2981 18.7813
I 10.8628 -1.3428 3.8533
I 8.6542 -2.6431 7.3032
I 9.2050 -2.5978 11.4172
```

The 10 most intense peaks (2θ from 5° to 70°), by angle:
11.05°, d = 8.006 Å, I 643
13.28°, d = 6.665 Å, I 928
18.07°, d = 4.909 Å, I 586
22.08°, d = 4.027 Å, I 420
22.49°, d = 3.954 Å, I 1000
23.30°, d = 3.818 Å, I 936
36.54°, d = 2.459 Å, I 359
38.98°, d = 2.311 Å, I 566
39.67°, d = 2.272 Å, I 398
44.55°, d = 2.034 Å, I 425